# 1
The following is a simulated X-ray powder pattern of La4SbRh2. It was derived from a DFT-relaxed cell (PBE, Alexandria), using copper Kα.
Kinematic intensities with the Lorentz-polarization factor, no thermal factor.

Structure:
```
data_La4SbRh2
_cell_length_a 13.425
_cell_length_b 9.003
_cell_length_c 9.529
_cell_angle_alpha 90.00
_cell_angle_beta 134.77
_cell_angle_gamma 90.00
_symmetry_space_group_name_H-M 'C 1 2 1'
_symmetry_Int_Tables_number 5
_symmetry_space_group_name_Hall 'C 2y'
loop_
_atom_site_label
_atom_site_type_symbol
_atom_site_fract_x
_atom_site_fract_y
_atom_site_fract_z
_atom_site_occupancy
La1 La 0.061 0.000 0.379 1
La2 La 0.062 0.587 0.243 1
La3 La 0.181 0.336 0.744 1
La4 La 0.182 0.249 0.123 1
Sb1 Sb 0.000 0.668 0.500 1
Sb2 Sb 0.000 0.918 0.000 1
Rh1 Rh 0.105 0.293 0.355 1
Rh2 Rh 0.250 0.043 0.855 1
```

Main lines, sorted by position (15° ≤ 2θ ≤ 90°):
d/Å	I (rel.)	h k l
3.272	26	2 2 0
3.020	54	2 0 -3
3.006	51	4 0 -1
2.995	100	3 1 0
2.862	98	1 3 0
2.544	43	1 1 2
2.528	44	5 1 -2
2.508	26	2 2 -3
2.500	24	4 2 -1
2.454	24	1 3 -2
1.872	24	0 4 2
1.803	39	4 4 -1

=====

# 2
The following is a simulated X-ray powder pattern of Sm3ThC3. It was derived from a DFT-relaxed cell (PBE, Alexandria), using copper Kα.
Kinematic intensities with the Lorentz-polarization factor, no thermal factor.

Structure:
```
data_Sm3ThC3
_cell_length_a 8.1098
_cell_length_b 8.1098
_cell_length_c 7.6892
_cell_angle_alpha 90.00
_cell_angle_beta 90.00
_cell_angle_gamma 120.00
_symmetry_space_group_name_H-M 'R 3 m'
_symmetry_Int_Tables_number 160
_symmetry_space_group_name_Hall 'R 3 -2"'
loop_
_atom_site_label
_atom_site_type_symbol
_atom_site_fract_x
_atom_site_fract_y
_atom_site_fract_z
_atom_site_occupancy
Sm1 Sm 0.0329 0.5165 0.0000 1
Th1 Th 0.0000 0.0000 0.9281 1
C1 C 0.0153 0.5076 0.3367 1
```

Main lines, sorted by position (15° ≤ 2θ ≤ 90°):
d/Å	I (rel.)	h k l
3.372	15	0 1 2
3.194	100	0 2 1
2.593	53	2 0 2
2.563	16	0 0 3
2.509	15	2 1 1
2.167	10	1 1 3
2.027	31	2 2 0
1.712	14	4 0 1
1.597	10	0 4 2
1.590	18	2 2 3
1.557	10	2 1 4
1.308	10	2 4 1

=====

# 3
The following is a simulated X-ray powder pattern of PrCu4Sn4. It was derived from a DFT-relaxed cell (PBE, Alexandria), using copper Kα.
Kinematic intensities with the Lorentz-polarization factor, no thermal factor.

Structure:
```
data_PrCu4Sn4
_cell_length_a 6.706
_cell_length_b 6.706
_cell_length_c 8.537
_cell_angle_alpha 90.00
_cell_angle_beta 90.00
_cell_angle_gamma 90.00
_symmetry_space_group_name_H-M 'P 42/n m c'
_symmetry_Int_Tables_number 137
loop_
_symmetry_equiv_pos_as_xyz
'x,y,z'
'-x,-y,-z'
'-y+1/2,x,z+1/2'
'y+1/2,-x,-z+1/2'
'-x+1/2,-y+1/2,z'
'x+1/2,y+1/2,-z'
'y,-x+1/2,z+1/2'
'-y,x+1/2,-z+1/2'
'x+1/2,-y,-z'
'-x+1/2,y,z'
'-y,-x,-z+1/2'
'y,x,z+1/2'
'-x,y+1/2,-z'
'x,-y+1/2,z'
'y+1/2,x+1/2,-z+1/2'
'-y+1/2,-x+1/2,z+1/2'
loop_
_atom_site_label
_atom_site_type_symbol
_atom_site_fract_x
_atom_site_fract_y
_atom_site_fract_z
_atom_site_occupancy
Pr1 Pr 0.250 0.750 0.250 1
Cu1 Cu 0.066 0.250 0.103 1
Sn1 Sn 0.001 0.250 0.403 1
```

Main lines, sorted by position (15° ≤ 2θ ≤ 90°):
d/Å	I (rel.)	h k l
3.172	15	1 1 2
3.121	21	2 0 1
2.829	100	2 1 1
2.619	60	1 0 3
2.454	18	2 1 2
2.371	32	2 2 0
2.073	19	2 2 2
2.064	16	2 1 3
1.758	35	3 0 3
1.676	22	4 0 0
1.586	29	2 2 4
1.213	17	4 3 3

=====

# 4
The following is a simulated X-ray powder pattern of Sm2BiSb. It was derived from a DFT-relaxed cell (PBE, Alexandria), using copper Kα.
Kinematic intensities with the Lorentz-polarization factor, no thermal factor.

Structure:
```
data_Sm2BiSb
_cell_length_a 9.035
_cell_length_b 18.037
_cell_length_c 7.818
_cell_angle_alpha 90.00
_cell_angle_beta 125.25
_cell_angle_gamma 90.00
_symmetry_space_group_name_H-M 'C 1 2/c 1'
_symmetry_Int_Tables_number 15
_symmetry_space_group_name_Hall '-C 2yc'
loop_
_atom_site_label
_atom_site_type_symbol
_atom_site_fract_x
_atom_site_fract_y
_atom_site_fract_z
_atom_site_occupancy
Sm1 Sm 0.242 0.063 0.246 1
Sm2 Sm 0.248 0.187 0.746 1
Bi1 Bi 0.000 0.313 0.750 1
Bi2 Bi 0.000 0.438 0.250 1
Sb1 Sb 0.000 0.063 0.750 1
Sb2 Sb 0.000 0.188 0.250 1
```

Main lines, sorted by position (15° ≤ 2θ ≤ 90°):
d/Å	I (rel.)	h k l
4.660	1	1 3 -1
3.242	2	1 3 1
3.192	100	0 0 2
2.257	78	0 8 0
1.843	28	0 8 2
1.596	13	0 0 4
1.428	30	4 8 -4
1.426	6	2 12 -1
1.303	18	4 0 -6
1.302	9	2 12 -3
1.129	4	4 8 2
1.128	4	0 16 0

=====

# 5
The following is a simulated X-ray powder pattern of Er3ScPt3. It was derived from a DFT-relaxed cell (PBE, Alexandria), using copper Kα.
Kinematic intensities with the Lorentz-polarization factor, no thermal factor.

Structure:
```
data_Er3ScPt3
_cell_length_a 10.154
_cell_length_b 9.403
_cell_length_c 6.768
_cell_angle_alpha 90.00
_cell_angle_beta 97.87
_cell_angle_gamma 90.00
_symmetry_space_group_name_H-M 'C 1 2/m 1'
_symmetry_Int_Tables_number 12
_symmetry_space_group_name_Hall '-C 2y'
loop_
_atom_site_label
_atom_site_type_symbol
_atom_site_fract_x
_atom_site_fract_y
_atom_site_fract_z
_atom_site_occupancy
Er1 Er 0.000 0.191 0.000 1
Er2 Er 0.000 0.278 0.500 1
Er3 Er 0.197 0.500 0.006 1
Sc1 Sc 0.222 0.000 0.454 1
Pt1 Pt 0.053 0.000 0.709 1
Pt2 Pt 0.247 0.254 0.750 1
```

Main lines, sorted by position (15° ≤ 2θ ≤ 90°):
d/Å	I (rel.)	h k l
4.702	14	0 2 0
4.317	11	2 0 -1
2.985	16	2 0 -2
2.775	20	1 3 -1
2.725	19	3 1 1
2.518	100	2 2 -2
2.351	31	0 4 0
2.294	70	2 2 2
2.217	18	4 2 0
1.717	11	4 4 0
1.676	13	0 0 4
1.423	13	6 0 2